Theoretical powder diffractogram of Ir2NO2 for Cu Kα (λ = 1.5418 Å), from a GGA-PBE-relaxed structure.

Structural model:
```
data_Ir2NO2
_chemical_formula_sum 'Ir4 N2 O4'
_cell_length_a 6.456
_cell_length_b 6.456
_cell_length_c 2.693
_cell_angle_alpha 90.00
_cell_angle_beta 90.00
_cell_angle_gamma 90.00
_space_group_name_H-M_alt 'P 4/m b m'
_space_group_IT_number 127
_space_group_name_Hall '-P 4 2ab'
loop_
_atom_site_label
_atom_site_fract_x
_atom_site_fract_y
_atom_site_fract_z
Ir1 0.222 0.278 0.000
N1 0.000 0.000 0.500
O1 0.122 0.622 0.500
```

Main lines, low angle first (10° ≤ 2θ ≤ 80°):
2θ/deg	intensity	index
27.6	100	2 0 0
33.3	29	0 0 1
39.5	41	2 2 0
43.8	70	2 0 1
46.1	19	2 1 1
52.6	31	2 2 1